(1)
Structure and simulated XRD peak list of HoGaFe (a structure optimized by DFT (GGA-PBE); Cu Kα (weighted mean of Kα1 and Kα2)).

Peak list (8 most intense, 2θ from 10° to 90°, low angle first)
| Position (°2θ) | I_rel |
| --- | --- |
| 34.15 | 98 |
| 34.26 | 29 |
| 39.19 | 100 |
| 40.15 | 66 |
| 40.58 | 45 |
| 40.90 | 30 |
| 42.50 | 25 |
| 71.92 | 35 |

Cell and atoms:
```
data_HoGaFe
_chemical_formula_sum 'Ho2 Ga2 Fe2'
_cell_length_a 5.2571
_cell_length_b 5.2571
_cell_length_c 5.2571
_cell_angle_alpha 120.28
_cell_angle_beta 117.38
_cell_angle_gamma 92.05
_space_group_name_H-M_alt 'P 1'
_space_group_IT_number 1
loop_
_space_group_symop_operation_xyz
'x,y,z'
loop_
_atom_site_label
_atom_site_fract_x
_atom_site_fract_y
_atom_site_fract_z
Ho1 0.3638 0.1138 0.2500
Ho2 0.6362 0.8862 0.7500
Ga1 0.0000 0.5000 0.5000
Ga2 0.5000 0.5000 0.0000
Fe1 0.0000 0.0000 0.5000
Fe2 0.0000 0.5000 0.0000
```

(2)
Structure and simulated XRD peak list of Ho5GaFe2 (a structure optimized by DFT (GGA-PBE); Cu Kα (weighted mean of Kα1 and Kα2)).

Peak list (8 most intense, 2θ from 10° to 90°, low angle first)
| Position (°2θ) | I_rel |
| --- | --- |
| 28.09 | 39 |
| 30.91 | 23 |
| 33.54 | 100 |
| 34.79 | 24 |
| 35.58 | 79 |
| 39.06 | 48 |
| 59.97 | 29 |
| 71.22 | 31 |

Cell and atoms:
```
data_Ho5GaFe2
_chemical_formula_sum 'Ho10 Ga2 Fe4'
_cell_length_a 8.6865
_cell_length_b 8.6865
_cell_length_c 8.6865
_cell_angle_alpha 130.36
_cell_angle_beta 130.36
_cell_angle_gamma 72.83
_space_group_name_H-M_alt 'P 1'
_space_group_IT_number 1
loop_
_space_group_symop_operation_xyz
'x,y,z'
loop_
_atom_site_label
_atom_site_fract_x
_atom_site_fract_y
_atom_site_fract_z
Ho1 0.0000 0.0000 0.0000
Ho2 0.0392 0.5392 0.8527
Ho3 0.1865 0.0392 0.5000
Ho4 0.3135 0.8135 0.8527
Ho5 0.4608 0.3135 0.5000
Ho6 0.5000 0.5000 0.0000
Ho7 0.5392 0.6865 0.5000
Ho8 0.6865 0.1865 0.1473
Ho9 0.8135 0.9608 0.5000
Ho10 0.9608 0.4608 0.1473
Ga1 0.2500 0.2500 0.0000
Ga2 0.7500 0.7500 0.0000
Fe1 0.1064 0.3936 0.5000
Fe2 0.3936 0.8936 0.2871
Fe3 0.6064 0.1064 0.7129
Fe4 0.8936 0.6064 0.5000
```

(3)
Structure and simulated XRD peak list of Ho3Ga7Fe2 (a structure optimized by DFT (GGA-PBE); Cu Kα (weighted mean of Kα1 and Kα2)).

Peak list (8 most intense, 2θ from 10° to 90°, low angle first)
| Position (°2θ) | I_rel |
| --- | --- |
| 28.14 | 17 |
| 31.14 | 19 |
| 34.56 | 100 |
| 39.93 | 33 |
| 40.05 | 30 |
| 40.40 | 19 |
| 57.83 | 20 |
| 58.15 | 26 |

Cell and atoms:
```
data_Ho3Ga7Fe2
_chemical_formula_sum 'Ho3 Ga7 Fe2'
_cell_length_a 11.3874
_cell_length_b 11.3874
_cell_length_c 4.5165
_cell_angle_alpha 90.00
_cell_angle_beta 90.00
_cell_angle_gamma 157.19
_space_group_name_H-M_alt 'P 1'
_space_group_IT_number 1
loop_
_space_group_symop_operation_xyz
'x,y,z'
loop_
_atom_site_label
_atom_site_fract_x
_atom_site_fract_y
_atom_site_fract_z
Ho1 0.0000 0.0000 0.0000
Ho2 0.1853 0.8147 0.0000
Ho3 0.8147 0.1853 0.0000
Ga1 0.0949 0.9051 0.5000
Ga2 0.2847 0.7153 0.5000
Ga3 0.4060 0.5940 0.0000
Ga4 0.5000 0.5000 0.5000
Ga5 0.5940 0.4060 0.0000
Ga6 0.7153 0.2847 0.5000
Ga7 0.9051 0.0949 0.5000
Fe1 0.3940 0.6060 0.5000
Fe2 0.6060 0.3940 0.5000
```